No. 1
Starting from a structure optimized by DFT (GGA-PBE), the powder X-ray diffraction pattern of SrZn5 was simulated for Cu Kα X-rays.
Lines closer than 0.1° are merged.

abc: 5.4905 5.4905 4.2547
angles: 90.00 90.00 120.00
Space group P6/mmm (No. 191)
One atom of each set of equivalent atoms:
Sr  0.0000  0.0000  0.0000 x1
Zn  0.0000  0.5000  0.5000 x3
Zn  0.3333  0.6667  0.0000 x2

Main lines, low angle first (10° ≤ 2θ ≤ 80°):
- d 2.745, I = 23, hkl 1 1 0
- d 2.377, I = 32, hkl 2 0 0
- d 2.307, I = 100, hkl 1 1 1
- d 2.127, I = 28, hkl 0 0 2
- d 2.075, I = 31, hkl 2 0 1
- d 1.485, I = 24, hkl 3 0 1


No. 2
Starting from a structure optimized by DFT (GGA-PBE), the powder X-ray diffraction pattern of AcPt was simulated for Cu Kα X-rays.
Lines closer than 0.1° are merged.

abc: 6.194 6.194 6.194
angles: 90.00 90.00 90.00
Space group Fm-3m (No. 225)
One atom of each set of equivalent atoms:
Ac  0.000  0.000  0.000 x4
Pt  0.000  0.000  0.500 x4

Main lines, low angle first (10° ≤ 2θ ≤ 80°):
- d 3.097, I = 100, hkl 2 0 0
- d 2.190, I = 78, hkl 2 2 0
- d 1.788, I = 28, hkl 2 2 2
- d 1.548, I = 13, hkl 4 0 0
- d 1.385, I = 37, hkl 4 2 0
- d 1.264, I = 28, hkl 4 2 2


No. 3
Starting from a structure optimized by DFT (GGA-PBE), the powder X-ray diffraction pattern of Nd3Cu4Sn2Ge2 was simulated for Cu Kα X-rays.
Lines closer than 0.1° are merged.

abc: 4.481 6.816 14.800
angles: 90.00 90.00 90.00
Space group Immm (No. 71)
One atom of each set of equivalent atoms:
Nd  0.000  0.000  0.000 x2
Nd  0.000  0.500  0.128 x4
Cu  0.000  0.314  0.341 x8
Sn  0.000  0.000  0.217 x4
Ge  0.000  0.189  0.500 x4

Main lines, low angle first (10° ≤ 2θ ≤ 80°):
- d 2.715, I = 27, hkl 0 1 5
- d 2.668, I = 73, hkl 1 2 1
- d 2.632, I = 100, hkl 1 1 4
- d 2.241, I = 37, hkl 2 0 0
- d 2.064, I = 17, hkl 0 3 3
- d 1.357, I = 19, hkl 3 1 4


No. 4
Starting from a structure optimized by DFT (GGA-PBE), the powder X-ray diffraction pattern of DyHoNi2C4 was simulated for Cu Kα X-rays.
Lines closer than 0.1° are merged.

abc: 3.533 3.533 7.401
angles: 90.00 90.00 90.00
Space group P4mm (No. 99)
One atom of each set of equivalent atoms:
Dy  0.000  0.000  0.000 x1
Ho  0.500  0.500  0.664 x1
Ni  0.000  0.500  0.332 x2
C  0.000  0.000  0.489 x1
C  0.000  0.000  0.676 x1
C  0.500  0.500  0.173 x1
C  0.500  0.500  0.986 x1

Main lines, low angle first (10° ≤ 2θ ≤ 80°):
- d 3.188, I = 100, hkl 1 0 1
- d 2.555, I = 72, hkl 1 0 2
- d 2.467, I = 44, hkl 0 0 3
- d 2.367, I = 64, hkl 1 1 1
- d 2.070, I = 49, hkl 1 1 2
- d 1.766, I = 37, hkl 2 0 0


No. 5
Starting from a structure optimized by DFT (GGA-PBE), the powder X-ray diffraction pattern of Gd3Al3CuNi2 was simulated for Cu Kα X-rays.
Lines closer than 0.1° are merged.

abc: 6.9825 6.9825 4.0042
angles: 90.00 90.00 120.00
Space group P-62m (No. 189)
One atom of each set of equivalent atoms:
Gd  0.0000  0.5809  0.0000 x3
Al  0.0000  0.2382  0.5000 x3
Cu  0.0000  0.0000  0.0000 x1
Ni  0.3333  0.6667  0.5000 x2

Main lines, low angle first (10° ≤ 2θ ≤ 80°):
- d 3.491, I = 31, hkl 1 1 0
- d 3.024, I = 35, hkl 2 0 0
- d 2.631, I = 90, hkl 1 1 1
- d 2.413, I = 100, hkl 2 0 1
- d 2.286, I = 30, hkl 2 1 0
- d 1.547, I = 34, hkl 3 1 1


No. 6
Starting from a structure optimized by DFT (GGA-PBE), the powder X-ray diffraction pattern of Co3Ge5Au was simulated for Cu Kα X-rays.
Lines closer than 0.1° are merged.

abc: 5.0046 5.0046 6.3372
angles: 90.00 90.00 120.00
Space group P6/mmm (No. 191)
One atom of each set of equivalent atoms:
Co  0.0000  0.5000  0.0000 x3
Ge  0.0000  0.0000  0.0000 x1
Ge  0.3333  0.6667  0.3010 x4
Au  0.0000  0.0000  0.5000 x1

Main lines, low angle first (10° ≤ 2θ ≤ 80°):
- d 3.577, I = 36, hkl 1 0 1
- d 2.558, I = 89, hkl 1 0 2
- d 2.502, I = 100, hkl 1 1 0
- d 2.327, I = 49, hkl 1 1 1
- d 1.899, I = 32, hkl 1 0 3
- d 1.789, I = 92, hkl 2 0 2


No. 7
Starting from a structure optimized by DFT (GGA-PBE), the powder X-ray diffraction pattern of Fe2TeS was simulated for Cu Kα X-rays.
Lines closer than 0.1° are merged.

abc: 3.8173 3.8173 6.5503
angles: 90.00 90.00 120.00
Space group P-6m2 (No. 187)
One atom of each set of equivalent atoms:
Fe  0.0000  0.0000  0.1917 x2
Te  0.6667  0.3333  0.0000 x1
S  0.0000  0.0000  0.5000 x1

Main lines, low angle first (10° ≤ 2θ ≤ 80°):
- d 6.550, I = 100, hkl 0 0 1
- d 3.306, I = 69, hkl 1 0 0
- d 2.951, I = 73, hkl 1 0 1
- d 2.327, I = 66, hkl 1 0 2
- d 1.909, I = 53, hkl 1 1 0
- d 1.822, I = 62, hkl 1 0 3


No. 8
Starting from a structure optimized by DFT (GGA-PBE), the powder X-ray diffraction pattern of TbCd6Ag was simulated for Cu Kα X-rays.
Lines closer than 0.1° are merged.

abc: 6.4798 6.4798 4.9305
angles: 90.00 90.00 120.00
Space group P-6m2 (No. 187)
One atom of each set of equivalent atoms:
Tb  0.0000  0.0000  0.0000 x1
Cd  0.0005  0.5002  0.0000 x3
Cd  0.1706  0.3411  0.5000 x3
Ag  0.6667  0.3333  0.5000 x1

Main lines, low angle first (10° ≤ 2θ ≤ 80°):
- d 2.806, I = 25, hkl 2 0 0
- d 2.465, I = 23, hkl 0 0 2
- d 2.439, I = 100, hkl 2 0 1
- d 1.620, I = 18, hkl 2 2 0
- d 1.418, I = 17, hkl 2 0 3
- d 1.354, I = 19, hkl 2 2 2